1.
Diffraction record for CeMg14W. The powder diffraction line list is simulated, not measured: it uses DFT lattice parameters and positions (GGA-PBE) and Cu Kα X-rays.

Atomic structure:
```
data_CeMg14W
_symmetry_space_group_name_H-M 'P 1'
_symmetry_Int_Tables_number 1
_cell_length_a 10.3989
_cell_length_b 6.4836
_cell_length_c 6.4836
_cell_angle_alpha 54.84
_cell_angle_beta 90.00
_cell_angle_gamma 90.00
loop_
_symmetry_equiv_pos_as_xyz
'x,y,z'
loop_
_atom_site_label
_atom_site_type_symbol
_atom_site_fract_x
_atom_site_fract_y
_atom_site_fract_z
_atom_site_occupancy
Ce1 Ce 0.0000 0.0000 0.0000 1
Mg1 Mg 0.0000 0.0023 0.4956 1
Mg2 Mg 0.0000 0.4956 0.0023 1
Mg3 Mg 0.2318 0.6414 0.6414 1
Mg4 Mg 0.2481 0.1560 0.6446 1
Mg5 Mg 0.2481 0.6446 0.1560 1
Mg6 Mg 0.2635 0.1516 0.1516 1
Mg7 Mg 0.5000 0.4917 0.4917 1
Mg8 Mg 0.5000 0.4937 0.9888 1
Mg9 Mg 0.5000 0.9880 0.9880 1
Mg10 Mg 0.5000 0.9888 0.4937 1
Mg11 Mg 0.7365 0.1516 0.1516 1
Mg12 Mg 0.7519 0.1560 0.6446 1
Mg13 Mg 0.7519 0.6446 0.1560 1
Mg14 Mg 0.7682 0.6414 0.6414 1
W1 W 0.0000 0.4888 0.4888 1
```

Main lines, low angle first (2θ from 10° to 80°):
2theta	I_rel
15.40	495
17.05	389
17.61	711
23.05	364
31.12	335
33.82	395
34.50	434
35.66	705
38.11	1000
49.09	273


2.
Diffraction record for CeYMg14. The powder diffraction line list is simulated, not measured: it uses DFT lattice parameters and positions (GGA-PBE) and Cu Kα X-rays.

Atomic structure:
```
data_CeYMg14
_symmetry_space_group_name_H-M 'P 1'
_symmetry_Int_Tables_number 1
_cell_length_a 10.3937
_cell_length_b 6.5207
_cell_length_c 6.5207
_cell_angle_alpha 59.19
_cell_angle_beta 90.00
_cell_angle_gamma 90.00
loop_
_symmetry_equiv_pos_as_xyz
'x,y,z'
loop_
_atom_site_label
_atom_site_type_symbol
_atom_site_fract_x
_atom_site_fract_y
_atom_site_fract_z
_atom_site_occupancy
Ce1 Ce 0.0000 0.0000 0.0000 1
Y1 Y 0.0000 0.4955 0.4955 1
Mg1 Mg 0.0000 0.0014 0.5005 1
Mg2 Mg 0.0000 0.5005 0.0014 1
Mg3 Mg 0.2520 0.6714 0.6714 1
Mg4 Mg 0.2558 0.1724 0.1724 1
Mg5 Mg 0.2626 0.1687 0.6691 1
Mg6 Mg 0.2626 0.6691 0.1687 1
Mg7 Mg 0.5000 0.0031 0.5033 1
Mg8 Mg 0.5000 0.0054 0.0054 1
Mg9 Mg 0.5000 0.5033 0.0031 1
Mg10 Mg 0.5000 0.5054 0.5054 1
Mg11 Mg 0.7374 0.1687 0.6691 1
Mg12 Mg 0.7374 0.6691 0.1687 1
Mg13 Mg 0.7442 0.1724 0.1724 1
Mg14 Mg 0.7480 0.6714 0.6714 1
```

Main lines, low angle first (2θ from 10° to 80°):
2theta	I_rel
15.63	224
17.06	195
17.82	336
23.22	195
31.96	275
34.52	363
36.09	478
36.45	1000
63.10	217
67.88	187


3.
Diffraction record for CeYMg14. The powder diffraction line list is simulated, not measured: it uses DFT lattice parameters and positions (GGA-PBE) and Cu Kα X-rays.

Atomic structure:
```
data_CeYMg14
_symmetry_space_group_name_H-M 'P 1'
_symmetry_Int_Tables_number 1
_cell_length_a 6.6581
_cell_length_b 6.6581
_cell_length_c 10.4003
_cell_angle_alpha 90.00
_cell_angle_beta 90.00
_cell_angle_gamma 120.00
loop_
_symmetry_equiv_pos_as_xyz
'x,y,z'
loop_
_atom_site_label
_atom_site_type_symbol
_atom_site_fract_x
_atom_site_fract_y
_atom_site_fract_z
_atom_site_occupancy
Ce1 Ce 0.0000 0.0000 0.0000 1
Y1 Y 0.0000 0.0000 0.5000 1
Mg1 Mg 0.0060 0.5030 0.5000 1
Mg2 Mg 0.0078 0.5039 0.0000 1
Mg3 Mg 0.1703 0.3407 0.2506 1
Mg4 Mg 0.1703 0.3407 0.7494 1
Mg5 Mg 0.1703 0.8297 0.2506 1
Mg6 Mg 0.1703 0.8297 0.7494 1
Mg7 Mg 0.4961 0.5039 0.0000 1
Mg8 Mg 0.4961 0.9922 0.0000 1
Mg9 Mg 0.4970 0.5030 0.5000 1
Mg10 Mg 0.4970 0.9940 0.5000 1
Mg11 Mg 0.6593 0.8297 0.2506 1
Mg12 Mg 0.6593 0.8297 0.7494 1
Mg13 Mg 0.6667 0.3333 0.2474 1
Mg14 Mg 0.6667 0.3333 0.7526 1
```

Main lines, low angle first (2θ from 10° to 80°):
2theta	I_rel
15.37	441
23.03	381
31.02	300
31.92	158
34.49	236
35.61	1000
47.06	184
55.18	176
62.52	184
66.72	193


4.
Diffraction record for CeY4Mg5. The powder diffraction line list is simulated, not measured: it uses DFT lattice parameters and positions (GGA-PBE) and Cu Kα X-rays.

Atomic structure:
```
data_CeY4Mg5
_symmetry_space_group_name_H-M 'P 1'
_symmetry_Int_Tables_number 1
_cell_length_a 3.8101
_cell_length_b 3.8101
_cell_length_c 19.1198
_cell_angle_alpha 90.00
_cell_angle_beta 90.00
_cell_angle_gamma 90.00
loop_
_symmetry_equiv_pos_as_xyz
'x,y,z'
loop_
_atom_site_label
_atom_site_type_symbol
_atom_site_fract_x
_atom_site_fract_y
_atom_site_fract_z
_atom_site_occupancy
Ce1 Ce 0.0000 0.0000 0.0000 1
Y1 Y 0.0000 0.0000 0.1993 1
Y2 Y 0.0000 0.0000 0.4005 1
Y3 Y 0.0000 0.0000 0.5995 1
Y4 Y 0.0000 0.0000 0.8007 1
Mg1 Mg 0.5000 0.5000 0.1008 1
Mg2 Mg 0.5000 0.5000 0.3002 1
Mg3 Mg 0.5000 0.5000 0.5000 1
Mg4 Mg 0.5000 0.5000 0.6998 1
Mg5 Mg 0.5000 0.5000 0.8992 1
```

Main lines, low angle first (2θ from 10° to 80°):
2theta	I_rel
23.32	436
33.21	1000
40.98	129
47.56	59
47.74	118
53.78	116
59.26	121
59.38	240
69.68	73
79.54	100


5.
Diffraction record for CeYMg2. The powder diffraction line list is simulated, not measured: it uses DFT lattice parameters and positions (GGA-PBE) and Cu Kα X-rays.

Atomic structure:
```
data_CeYMg2
_symmetry_space_group_name_H-M 'P 1'
_symmetry_Int_Tables_number 1
_cell_length_a 5.3989
_cell_length_b 5.3989
_cell_length_c 5.3989
_cell_angle_alpha 60.00
_cell_angle_beta 60.00
_cell_angle_gamma 60.00
loop_
_symmetry_equiv_pos_as_xyz
'x,y,z'
loop_
_atom_site_label
_atom_site_type_symbol
_atom_site_fract_x
_atom_site_fract_y
_atom_site_fract_z
_atom_site_occupancy
Ce1 Ce 0.0000 0.0000 0.0000 1
Y1 Y 0.5000 0.5000 0.5000 1
Mg1 Mg 0.2500 0.2500 0.2500 1
Mg2 Mg 0.7500 0.7500 0.7500 1
```

Main lines, low angle first (2θ from 10° to 80°):
2theta	I_rel
20.14	65
23.30	496
33.19	1000
40.95	149
47.64	178
53.69	203
59.29	366
69.66	111
74.58	95
79.37	153


6.
Diffraction record for CeMg6Zn. The powder diffraction line list is simulated, not measured: it uses DFT lattice parameters and positions (GGA-PBE) and Cu Kα X-rays.

Atomic structure:
```
data_CeMg6Zn
_symmetry_space_group_name_H-M 'P 1'
_symmetry_Int_Tables_number 1
_cell_length_a 5.0596
_cell_length_b 6.6656
_cell_length_c 6.6656
_cell_angle_alpha 60.15
_cell_angle_beta 90.00
_cell_angle_gamma 90.00
loop_
_symmetry_equiv_pos_as_xyz
'x,y,z'
loop_
_atom_site_label
_atom_site_type_symbol
_atom_site_fract_x
_atom_site_fract_y
_atom_site_fract_z
_atom_site_occupancy
Ce1 Ce 0.0000 0.0000 0.0000 1
Mg1 Mg 0.0000 0.5114 0.5114 1
Mg2 Mg 0.0000 0.5136 0.9940 1
Mg3 Mg 0.0000 0.9940 0.5136 1
Mg4 Mg 0.5000 0.3421 0.3421 1
Mg5 Mg 0.5000 0.3538 0.8365 1
Mg6 Mg 0.5000 0.8365 0.3538 1
Zn1 Zn 0.5000 0.8426 0.8426 1
```

Main lines, low angle first (2θ from 10° to 80°):
2theta	I_rel
15.33	668
23.38	379
30.95	273
32.16	242
35.48	227
35.80	1000
38.86	137
47.79	160
63.92	176
67.28	127


7.
Diffraction record for Ce2MgZn. The powder diffraction line list is simulated, not measured: it uses DFT lattice parameters and positions (GGA-PBE) and Cu Kα X-rays.

Atomic structure:
```
data_Ce2MgZn
_symmetry_space_group_name_H-M 'P 1'
_symmetry_Int_Tables_number 1
_cell_length_a 3.7290
_cell_length_b 3.7290
_cell_length_c 7.3773
_cell_angle_alpha 90.00
_cell_angle_beta 90.00
_cell_angle_gamma 90.00
loop_
_symmetry_equiv_pos_as_xyz
'x,y,z'
loop_
_atom_site_label
_atom_site_type_symbol
_atom_site_fract_x
_atom_site_fract_y
_atom_site_fract_z
_atom_site_occupancy
Ce1 Ce 0.0000 0.0000 0.2232 1
Ce2 Ce 0.0000 0.0000 0.7768 1
Mg1 Mg 0.5000 0.5000 0.5000 1
Zn1 Zn 0.5000 0.5000 0.0000 1
```

Main lines, low angle first (2θ from 10° to 80°):
2theta	I_rel
12.00	194
23.86	316
24.13	128
34.00	553
34.19	1000
42.13	119
44.11	123
48.85	197
60.97	367
61.34	137


8.
Diffraction record for CeMg6Zn. The powder diffraction line list is simulated, not measured: it uses DFT lattice parameters and positions (GGA-PBE) and Cu Kα X-rays.

Atomic structure:
```
data_CeMg6Zn
_symmetry_space_group_name_H-M 'P 1'
_symmetry_Int_Tables_number 1
_cell_length_a 5.1106
_cell_length_b 6.6754
_cell_length_c 6.6754
_cell_angle_alpha 57.80
_cell_angle_beta 90.00
_cell_angle_gamma 90.00
loop_
_symmetry_equiv_pos_as_xyz
'x,y,z'
loop_
_atom_site_label
_atom_site_type_symbol
_atom_site_fract_x
_atom_site_fract_y
_atom_site_fract_z
_atom_site_occupancy
Ce1 Ce 0.0000 0.0000 0.0000 1
Mg1 Mg 0.0000 0.0051 0.4950 1
Mg2 Mg 0.0000 0.4950 0.0051 1
Mg3 Mg 0.5000 0.1684 0.1684 1
Mg4 Mg 0.5000 0.1736 0.6511 1
Mg5 Mg 0.5000 0.6511 0.1736 1
Mg6 Mg 0.5000 0.6603 0.6603 1
Zn1 Zn 0.0000 0.4920 0.4920 1
```

Main lines, low angle first (2θ from 10° to 80°):
2theta	I_rel
15.16	492
17.35	371
23.12	388
31.68	365
35.12	349
35.39	547
36.34	1000
48.01	225
55.07	201
67.01	196


9.
Diffraction record for CeMgZn2. The powder diffraction line list is simulated, not measured: it uses DFT lattice parameters and positions (GGA-PBE) and Cu Kα X-rays.

Atomic structure:
```
data_CeMgZn2
_symmetry_space_group_name_H-M 'P 1'
_symmetry_Int_Tables_number 1
_cell_length_a 4.9112
_cell_length_b 4.9112
_cell_length_c 4.9112
_cell_angle_alpha 60.00
_cell_angle_beta 60.00
_cell_angle_gamma 60.00
loop_
_symmetry_equiv_pos_as_xyz
'x,y,z'
loop_
_atom_site_label
_atom_site_type_symbol
_atom_site_fract_x
_atom_site_fract_y
_atom_site_fract_z
_atom_site_occupancy
Ce1 Ce 0.0000 0.0000 0.0000 1
Mg1 Mg 0.5000 0.5000 0.5000 1
Zn1 Zn 0.2500 0.2500 0.2500 1
Zn2 Zn 0.7500 0.7500 0.7500 1
```

Main lines, low angle first (2θ from 10° to 80°):
2theta	I_rel
22.17	324
25.65	6
36.59	1000
43.20	171
52.72	171
57.87	72
65.88	340
70.44	54
77.79	104


10.
Diffraction record for CeMg14Zn. The powder diffraction line list is simulated, not measured: it uses DFT lattice parameters and positions (GGA-PBE) and Cu Kα X-rays.

Atomic structure:
```
data_CeMg14Zn
_symmetry_space_group_name_H-M 'P 1'
_symmetry_Int_Tables_number 1
_cell_length_a 6.4921
_cell_length_b 6.4921
_cell_length_c 10.2353
_cell_angle_alpha 90.00
_cell_angle_beta 90.00
_cell_angle_gamma 120.00
loop_
_symmetry_equiv_pos_as_xyz
'x,y,z'
loop_
_atom_site_label
_atom_site_type_symbol
_atom_site_fract_x
_atom_site_fract_y
_atom_site_fract_z
_atom_site_occupancy
Ce1 Ce 0.0000 0.0000 0.0000 1
Mg1 Mg 0.0156 0.5078 0.0000 1
Mg2 Mg 0.1651 0.3302 0.2615 1
Mg3 Mg 0.1651 0.3302 0.7385 1
Mg4 Mg 0.1651 0.8349 0.2615 1
Mg5 Mg 0.1651 0.8349 0.7385 1
Mg6 Mg 0.4922 0.5078 0.0000 1
Mg7 Mg 0.4922 0.9844 0.0000 1
Mg8 Mg 0.5021 0.0042 0.5000 1
Mg9 Mg 0.5021 0.4979 0.5000 1
Mg10 Mg 0.6667 0.3333 0.2414 1
Mg11 Mg 0.6667 0.3333 0.7586 1
Mg12 Mg 0.6698 0.8349 0.2615 1
Mg13 Mg 0.6698 0.8349 0.7385 1
Mg14 Mg 0.9958 0.4979 0.5000 1
Zn1 Zn 0.0000 0.0000 0.5000 1
```

Main lines, low angle first (2θ from 10° to 80°):
2theta	I_rel
15.76	401
23.51	308
31.83	292
35.07	237
36.47	1000
48.08	179
56.72	173
63.82	175
68.46	186
69.33	140


11.
Diffraction record for CeMg14Zn. The powder diffraction line list is simulated, not measured: it uses DFT lattice parameters and positions (GGA-PBE) and Cu Kα X-rays.

Atomic structure:
```
data_CeMg14Zn
_symmetry_space_group_name_H-M 'P 1'
_symmetry_Int_Tables_number 1
_cell_length_a 10.2862
_cell_length_b 6.5321
_cell_length_c 6.5321
_cell_angle_alpha 58.41
_cell_angle_beta 90.00
_cell_angle_gamma 90.00
loop_
_symmetry_equiv_pos_as_xyz
'x,y,z'
loop_
_atom_site_label
_atom_site_type_symbol
_atom_site_fract_x
_atom_site_fract_y
_atom_site_fract_z
_atom_site_occupancy
Ce1 Ce 0.0000 0.0000 0.0000 1
Mg1 Mg 0.0000 0.0134 0.4922 1
Mg2 Mg 0.0000 0.4922 0.0134 1
Mg3 Mg 0.2320 0.6506 0.6506 1
Mg4 Mg 0.2541 0.1582 0.6523 1
Mg5 Mg 0.2541 0.6523 0.1582 1
Mg6 Mg 0.2596 0.1589 0.1589 1
Mg7 Mg 0.5000 0.4930 0.4930 1
Mg8 Mg 0.5000 0.4952 0.9873 1
Mg9 Mg 0.5000 0.9873 0.4952 1
Mg10 Mg 0.5000 0.9907 0.9907 1
Mg11 Mg 0.7404 0.1589 0.1589 1
Mg12 Mg 0.7459 0.1582 0.6523 1
Mg13 Mg 0.7459 0.6523 0.1582 1
Mg14 Mg 0.7680 0.6506 0.6506 1
Zn1 Zn 0.0000 0.4740 0.4740 1
```

Main lines, low angle first (2θ from 10° to 80°):
2theta	I_rel
15.54	212
17.79	303
32.18	320
34.89	384
36.02	558
36.73	1000
48.19	200
56.36	177
63.77	180
68.03	208


12.
Diffraction record for Ce2MnN3. The powder diffraction line list is simulated, not measured: it uses DFT lattice parameters and positions (GGA-PBE) and Cu Kα X-rays.

Atomic structure:
```
data_Ce2MnN3
_symmetry_space_group_name_H-M 'P 1'
_symmetry_Int_Tables_number 1
_cell_length_a 6.7109
_cell_length_b 6.7109
_cell_length_c 6.7109
_cell_angle_alpha 150.12
_cell_angle_beta 147.13
_cell_angle_gamma 45.01
loop_
_symmetry_equiv_pos_as_xyz
'x,y,z'
loop_
_atom_site_label
_atom_site_type_symbol
_atom_site_fract_x
_atom_site_fract_y
_atom_site_fract_z
_atom_site_occupancy
Ce1 Ce 0.1458 0.1458 0.0000 1
Ce2 Ce 0.8542 0.8542 0.0000 1
Mn1 Mn 0.5000 0.5000 0.0000 1
N1 N 0.0000 0.5000 0.5000 1
N2 N 0.3372 0.3372 0.0000 1
N3 N 0.6628 0.6628 0.0000 1
```

Main lines, low angle first (2θ from 10° to 80°):
2theta	I_rel
24.52	260
28.80	242
32.01	778
33.78	821
35.08	1000
46.00	348
47.91	231
57.34	366
59.90	313
63.19	231


13.
Diffraction record for Ce2Mn5Ni5. The powder diffraction line list is simulated, not measured: it uses DFT lattice parameters and positions (GGA-PBE) and Cu Kα X-rays.

Atomic structure:
```
data_Ce2Mn5Ni5
_symmetry_space_group_name_H-M 'P 1'
_symmetry_Int_Tables_number 1
_cell_length_a 3.9984
_cell_length_b 5.1302
_cell_length_c 8.7605
_cell_angle_alpha 90.00
_cell_angle_beta 90.00
_cell_angle_gamma 90.00
loop_
_symmetry_equiv_pos_as_xyz
'x,y,z'
loop_
_atom_site_label
_atom_site_type_symbol
_atom_site_fract_x
_atom_site_fract_y
_atom_site_fract_z
_atom_site_occupancy
Ce1 Ce 0.0000 0.0000 0.0000 1
Ce2 Ce 0.0000 0.5000 0.5000 1
Mn1 Mn 0.0000 0.0000 0.3333 1
Mn2 Mn 0.0000 0.0000 0.6667 1
Mn3 Mn 0.0000 0.5000 0.1589 1
Mn4 Mn 0.0000 0.5000 0.8411 1
Mn5 Mn 0.5000 0.5000 0.0000 1
Ni1 Ni 0.5000 0.0000 0.5000 1
Ni2 Ni 0.5000 0.2482 0.2475 1
Ni3 Ni 0.5000 0.2482 0.7525 1
Ni4 Ni 0.5000 0.7518 0.2475 1
Ni5 Ni 0.5000 0.7518 0.7525 1
```

Main lines, low angle first (2θ from 10° to 80°):
2theta	I_rel
30.12	523
30.27	321
35.37	308
40.76	447
41.22	196
41.84	546
42.18	1000
45.36	405
62.61	240
67.68	228


14.
Diffraction record for CeMn7Ni5. The powder diffraction line list is simulated, not measured: it uses DFT lattice parameters and positions (GGA-PBE) and Cu Kα X-rays.

Atomic structure:
```
data_CeMn7Ni5
_symmetry_space_group_name_H-M 'P 1'
_symmetry_Int_Tables_number 1
_cell_length_a 6.3896
_cell_length_b 6.3896
_cell_length_c 6.3896
_cell_angle_alpha 136.21
_cell_angle_beta 97.68
_cell_angle_gamma 98.30
loop_
_symmetry_equiv_pos_as_xyz
'x,y,z'
loop_
_atom_site_label
_atom_site_type_symbol
_atom_site_fract_x
_atom_site_fract_y
_atom_site_fract_z
_atom_site_occupancy
Ce1 Ce 0.0000 0.0000 0.0000 1
Mn1 Mn 0.2287 0.4933 0.7355 1
Mn2 Mn 0.4960 0.4959 0.5041 1
Mn3 Mn 0.4960 0.9919 0.0001 1
Mn4 Mn 0.7578 0.4933 0.2645 1
Mn5 Mn 0.7600 0.2600 0.5000 1
Mn6 Mn 0.9918 0.4959 0.9999 1
Mn7 Mn 0.9918 0.9919 0.4959 1
Ni1 Ni 0.2076 0.7076 0.5000 1
Ni2 Ni 0.3421 0.3421 0.0000 1
Ni3 Ni 0.3422 0.9879 0.3543 1
Ni4 Ni 0.6336 0.9879 0.6457 1
Ni5 Ni 0.6428 0.6428 0.0000 1
```

Main lines, low angle first (2θ from 10° to 80°):
2theta	I_rel
30.33	209
37.21	185
37.39	234
37.76	167
43.02	248
43.30	1000
43.70	549
48.51	111
49.05	257
72.00	156